Diffraction record for Sm4Ho6Tm19. The powder X-ray diffraction pattern is computed, not measured: it uses a structure optimized by DFT (PBE) and λ = 1.5418 Å (Cu Kα).
Kinematic intensities with the Lorentz-polarization factor, no thermal factor.

The 10 most intense peaks (2θ = 15–90°), by intensity:
2θ = 30.72°, I 100
2θ = 37.13°, I 75
2θ = 28.93°, I 64
2θ = 27.02°, I 50
2θ = 35.62°, I 47
2θ = 60.96°, I 30
2θ = 54.62°, I 26
2θ = 61.98°, I 21
2θ = 42.70°, I 21
2θ = 52.40°, I 18

Crystal structure
Unit cell a=10.6926 b=10.6926 c=10.6926 alpha=109.47 beta=109.47 gamma=109.47
Element x y z (fractional)
Sm 0.0000 0.0000 0.6423
Sm 0.0000 0.6423 0.0000
Sm 0.3577 0.3577 0.3577
Sm 0.6423 0.0000 0.0000
Ho 0.1285 0.6285 0.5000
Ho 0.3715 0.5000 0.8715
Ho 0.5000 0.1285 0.6285
Ho 0.5000 0.8715 0.3715
Ho 0.6285 0.5000 0.1285
Ho 0.8715 0.3715 0.5000
Tm 0.0000 0.0000 0.0000
Tm 0.0000 0.2626 0.2626
Tm 0.0000 0.7374 0.7374
Tm 0.0126 0.8008 0.3386
Tm 0.1992 0.2118 0.5378
Tm 0.2118 0.5378 0.1992
Tm 0.2626 0.0000 0.2626
Tm 0.2626 0.2626 0.0000
Tm 0.3260 0.7882 0.9874
Tm 0.3386 0.0126 0.8008
Tm 0.4622 0.6740 0.6614
Tm 0.5378 0.1992 0.2118
Tm 0.6614 0.4622 0.6740
Tm 0.6740 0.6614 0.4622
Tm 0.7374 0.0000 0.7374
Tm 0.7374 0.7374 0.0000
Tm 0.7882 0.9874 0.3260
Tm 0.8008 0.3386 0.0126
Tm 0.9874 0.3260 0.7882